No. 1
Structure and simulated powder X-ray diffraction pattern of BaTePdO (a cell relaxed with GGA-PBE; a wavelength of 1.5418 Å).

Main lines, by angle (15° ≤ 2θ ≤ 90°):
2θ = 26.4°, I 100, (1 0 4); 2θ = 29.9°, I 23, (2 0 2); 2θ = 30.8°, I 23, (1 2 2); 2θ = 33.4°, I 27, (1 2 3); 2θ = 33.9°, I 28, (0 2 4); 2θ = 37.6°, I 26, (2 2 0); 2θ = 38.1°, I 22, (2 2 1); 2θ = 39.4°, I 30, (2 2 2); 2θ = 42.6°, I 23, (0 2 6); 2θ = 54.3°, I 23, (2 0 8)

Structural model:
Lattice parameters (Å, degrees): 6.443 7.128 15.865 90.00 90.00 90.00
Space group Pbca (No. 61)
Inequivalent atoms, fractional coordinates:
Ba 0.238 0.127 0.192
Te 0.204 0.508 0.923
Pd 0.002 0.708 0.499
O 0.057 0.121 0.780

No. 2
Structure and simulated powder X-ray diffraction pattern of BaPr2Sc2O7 (a cell relaxed with GGA-PBE; a wavelength of 1.5418 Å).

Main lines, by angle (15° ≤ 2θ ≤ 90°):
2θ = 22.1°, I 17, (1 1 1); 2θ = 26.2°, I 10, (0 0 6); 2θ = 30.9°, I 100, (2 0 0); 2θ = 40.9°, I 17, (2 0 6); 2θ = 44.1°, I 21, (2 2 0); 2θ = 54.2°, I 8, (1 1 11); 2θ = 54.8°, I 24, (3 1 5); 2θ = 55.0°, I 9, (2 0 10); 2θ = 64.4°, I 7, (2 2 10); 2θ = 72.9°, I 9, (3 3 5)

Structural model:
Lattice parameters (Å, degrees): 5.806 5.806 20.413 90.00 90.00 90.00
Space group P4_2/mnm (No. 136)
Inequivalent atoms, fractional coordinates:
Ba 0.241 0.241 0.000
Pr 0.227 0.227 0.184
Sc 0.243 0.243 0.399
O 0.000 0.000 0.094
O 0.000 0.000 0.372
O 0.000 0.500 0.112
O 0.189 0.811 0.209
O 0.215 0.215 0.500

No. 3
Structure and simulated powder X-ray diffraction pattern of Ba4TbPr3O12 (a cell relaxed with GGA-PBE; a wavelength of 1.5418 Å).

Main lines, by angle (15° ≤ 2θ ≤ 90°):
2θ = 17.1°, I 15, (0 1 2); 2θ = 24.8°, I 19, (1 0 7); 2θ = 26.9°, I 44, (0 1 8); 2θ = 28.2°, I 100, (1 1 0); 2θ = 31.5°, I 26, (1 0 10); 2θ = 39.4°, I 21, (2 0 8); 2θ = 42.8°, I 17, (0 2 10); 2θ = 49.2°, I 19, (1 2 8); 2θ = 50.0°, I 21, (3 0 0); 2θ = 58.4°, I 19, (2 2 0)

Structural model:
Lattice parameters (Å, degrees): 6.3206 6.3206 33.2394 90.00 90.00 120.00
Space group R-3m (No. 166, hexagonal axes)
Inequivalent atoms, fractional coordinates:
Ba 0.0000 0.0000 0.1141
Ba 0.0000 0.0000 0.2704
Tb 0.0000 0.0000 0.0000
Pr 0.0000 0.0000 0.4040
Pr 0.0000 0.0000 0.5000
O 0.0057 0.5028 0.1197
O 0.0366 0.5183 0.7116

No. 4
Structure and simulated powder X-ray diffraction pattern of BaPt2O6 (a cell relaxed with GGA-PBE; a wavelength of 1.5418 Å).

Main lines, by angle (15° ≤ 2θ ≤ 90°):
2θ = 15.8°, I 37, (0 0 1); 2θ = 25.0°, I 100, (1 0 1); 2θ = 31.9°, I 16, (0 0 2); 2θ = 33.6°, I 47, (1 1 0); 2θ = 37.4°, I 20, (2 -1 1); 2θ = 42.4°, I 22, (2 0 1); 2θ = 47.0°, I 51, (2 -1 2); 2θ = 55.1°, I 22, (3 -1 1); 2θ = 60.2°, I 14, (3 0 0); 2θ = 69.7°, I 12, (3 0 2)

Structural model:
Lattice parameters (Å, degrees): 5.3288 5.3288 5.6090 90.00 90.00 120.00
Space group P-31m (No. 162)
Inequivalent atoms, fractional coordinates:
Ba 0.0000 0.0000 0.0000
Pt 0.3333 0.6667 0.5000
O 0.0000 0.3804 0.6964

No. 5
Structure and simulated powder X-ray diffraction pattern of Ba5Pt2O9 (a cell relaxed with GGA-PBE; a wavelength of 1.5418 Å).

Main lines, by angle (15° ≤ 2θ ≤ 90°):
2θ = 17.4°, I 35, (1 1 0); 2θ = 26.6°, I 50, (1 1 2); 2θ = 30.4°, I 100, (3 0 0); 2θ = 31.7°, I 14, (0 1 3); 2θ = 36.4°, I 22, (2 0 3); 2θ = 40.7°, I 29, (1 2 3); 2θ = 40.8°, I 27, (2 2 2); 2θ = 54.1°, I 17, (3 3 0); 2θ = 54.9°, I 18, (2 3 3); 2θ = 63.3°, I 14, (6 0 0)

Structural model:
Lattice parameters (Å, degrees): 10.1774 10.1774 8.9235 90.00 90.00 120.00
Space group P321 (No. 150)
Inequivalent atoms, fractional coordinates:
Ba 0.0000 0.0000 0.0000
Ba 0.0000 0.3315 0.5000
Ba 0.0000 0.3647 0.0000
Ba 0.0301 0.6959 0.2612
Ba 0.3333 0.6667 0.7525
Pt 0.0000 0.0000 0.3448
Pt 0.3333 0.6667 0.0979
Pt 0.3333 0.6667 0.4080
O 0.0000 0.8500 0.5000
O 0.0073 0.1767 0.7800
O 0.1705 0.5198 0.2528
O 0.1725 0.6853 0.9727
O 0.1731 0.6802 0.5335

No. 6
Structure and simulated powder X-ray diffraction pattern of BaRe2O6 (a cell relaxed with GGA-PBE; a wavelength of 1.5418 Å).

Main lines, by angle (15° ≤ 2θ ≤ 90°):
2θ = 22.6°, I 25, (0 1 2); 2θ = 23.1°, I 28, (1 0 0); 2θ = 28.8°, I 100, (1 1 1); 2θ = 29.5°, I 24, (0 2 0); 2θ = 29.7°, I 78, (0 1 3); 2θ = 30.7°, I 18, (0 2 1); 2θ = 42.0°, I 24, (1 0 4); 2θ = 47.3°, I 20, (2 0 0); 2θ = 52.2°, I 18, (1 2 4); 2θ = 56.9°, I 25, (2 1 3)

Structural model:
Lattice parameters (Å, degrees): 3.842 6.062 10.376 90.00 90.07 90.00
Space group P2_1/c (No. 14)
Inequivalent atoms, fractional coordinates:
Ba 0.000 0.000 0.000
Re 0.500 0.075 0.355
O 0.000 0.079 0.354
O 0.500 0.131 0.786
O 0.500 0.197 0.533

No. 7
Structure and simulated powder X-ray diffraction pattern of BaReO4 (a cell relaxed with GGA-PBE; a wavelength of 1.5418 Å).

Main lines, by angle (15° ≤ 2θ ≤ 90°):
2θ = 26.5°, I 100, (1 1 2); 2θ = 28.6°, I 19, (0 0 4); 2θ = 31.7°, I 24, (2 0 0); 2θ = 43.2°, I 28, (2 0 4); 2θ = 45.4°, I 12, (2 2 0); 2θ = 49.3°, I 18, (1 1 6); 2θ = 53.3°, I 29, (3 1 2); 2θ = 54.5°, I 14, (2 2 4); 2θ = 69.3°, I 14, (1 3 6); 2θ = 82.3°, I 8, (2 4 4)

Structural model:
Lattice parameters (Å, degrees): 5.651 5.651 12.499 90.00 90.00 90.00
Space group I4_1/a (No. 88, origin choice 2)
Inequivalent atoms, fractional coordinates:
Ba 0.000 0.250 0.125
Re 0.000 0.250 0.625
O 0.131 0.005 0.696

No. 8
Structure and simulated powder X-ray diffraction pattern of Ba3Re2O9 (a cell relaxed with GGA-PBE; a wavelength of 1.5418 Å).

Main lines, by angle (15° ≤ 2θ ≤ 90°):
2θ = 28.1°, I 100, (0 1 5); 2θ = 31.3°, I 78, (1 1 0); 2θ = 42.5°, I 47, (2 0 5); 2θ = 47.5°, I 20, (1 0 10); 2θ = 53.7°, I 32, (1 2 5); 2θ = 55.7°, I 16, (3 0 0); 2θ = 58.0°, I 12, (0 2 10); 2θ = 65.3°, I 14, (2 2 0); 2θ = 67.4°, I 15, (2 1 10); 2θ = 72.5°, I 14, (3 1 5)

Structural model:
Lattice parameters (Å, degrees): 5.7191 5.7191 20.7421 90.00 90.00 120.00
Space group R-3m (No. 166, hexagonal axes)
Inequivalent atoms, fractional coordinates:
Ba 0.0000 0.0000 0.0000
Ba 0.0000 0.0000 0.2115
Re 0.0000 0.0000 0.3919
O 0.0000 0.5000 0.0000
O 0.0144 0.5072 0.2281